Starting from a PBE+U-relaxed structure, the powder XRD pattern of CsSmW2O8 was calculated for Cu Kα X-rays.
Kinematic intensities with the Lorentz-polarization factor, no thermal factor.

Principal peaks in the range 2θ from 10° to 80°, by intensity:
- 26.67°, I = 100
- 28.69°, I = 78
- 32.77°, I = 36
- 30.61°, I = 34
- 27.65°, I = 22
- 54.40°, I = 17

Crystal structure
```
CsSmW2O8
1.0
5.504 -5.452 0.000
5.504 5.452 0.000
-4.855 0.000 5.840
Cs Sm W O
2 2 4 16
direct
0.198 0.802 0.750
0.802 0.198 0.250
0.224 0.776 0.250
0.776 0.224 0.750
0.303 0.315 0.282
0.315 0.303 0.782
0.685 0.697 0.218
0.697 0.685 0.718
0.056 0.218 0.699
0.067 0.378 0.131
0.218 0.056 0.199
0.254 0.379 0.565
0.372 0.587 0.031
0.378 0.067 0.631
0.379 0.254 0.065
0.413 0.628 0.469
0.587 0.372 0.531
0.621 0.746 0.935
0.622 0.933 0.369
0.628 0.413 0.969
0.746 0.621 0.435
0.782 0.944 0.801
0.933 0.622 0.869
0.944 0.782 0.301
```

=====

Starting from a PBE+U-relaxed structure, the powder XRD pattern of CsTbW2O8 was calculated for Cu Kα X-rays.
Kinematic intensities with the Lorentz-polarization factor, no thermal factor.

Principal peaks in the range 2θ from 10° to 80°, by intensity:
- 28.84°, I = 100
- 26.86°, I = 96
- 30.82°, I = 43
- 26.98°, I = 34
- 32.94°, I = 27
- 27.68°, I = 26

Crystal structure
```
CsTbW2O8
1.0
5.504 -5.388 0.000
5.504 5.388 0.000
-4.872 0.000 5.803
Cs Tb W O
2 2 4 16
direct
0.197 0.803 0.750
0.803 0.197 0.250
0.223 0.777 0.250
0.777 0.223 0.750
0.302 0.314 0.284
0.314 0.302 0.784
0.686 0.698 0.216
0.698 0.686 0.716
0.052 0.222 0.702
0.062 0.371 0.126
0.222 0.052 0.202
0.253 0.379 0.566
0.371 0.062 0.626
0.372 0.591 0.035
0.379 0.253 0.066
0.409 0.628 0.465
0.591 0.372 0.535
0.621 0.747 0.934
0.628 0.409 0.965
0.629 0.938 0.374
0.747 0.621 0.434
0.778 0.948 0.798
0.938 0.629 0.874
0.948 0.778 0.298
```